Entry 1:
BaLaGa: calculated X-ray powder pattern (CuKα), based on a DFT-relaxed cell (PBE, Alexandria).
Lines closer than 0.1° are merged.

Largest 10 diffraction maxima, sorted by position, 2θ from 10° to 80°:
2theta  d (Å)  I/Imax  h k l
12.71  6.965  15  2 0 0
23.46  3.792  21  1 1 0
25.58  3.482  21  4 0 0
29.20  3.058  33  2 0 2
29.71  3.007  100  4 0 -2
31.84  2.810  91  1 1 -2
39.64  2.274  32  5 1 0
45.23  2.005  19  2 0 -4
46.07  1.970  16  0 2 0
55.75  1.649  16  4 2 -2

Structural model:
Cell lengths 14.4360, 3.9404, 8.0196 Å; angles 90.00, 105.23, 90.00 degrees
Space group Cm (No. 8)
Inequivalent atoms, fractional coordinates:
Ba 0.0000 0.0000 0.0000 [2 per cell]
Ba 0.2128 0.5000 0.3793 [2 per cell]
La 0.2436 0.5000 0.8799 [2 per cell]
La 0.4688 0.5000 0.4982 [2 per cell]
Ga 0.3559 0.0000 0.1890 [2 per cell]
Ga 0.3566 0.0000 0.6897 [2 per cell]

***

Entry 2:
Dy3Zn7Ag: calculated X-ray powder pattern (CuKα), based on a DFT-relaxed cell (PBE, Alexandria).
Lines closer than 0.1° are merged.

Largest 10 diffraction maxima, sorted by position, 2θ from 10° to 80°:
2theta  d (Å)  I/Imax  h k l
22.96  3.874  23  0 4 2
31.42  2.847  29  1 3 2
32.91  2.722  100  1 1 3
34.16  2.625  38  1 5 1
36.40  2.468  86  0 8 0
37.13  2.421  30  0 2 5
45.59  1.990  25  0 6 5
46.10  1.969  24  1 7 3
49.84  1.830  33  2 0 0
57.67  1.599  26  1 1 7

Structural model:
Cell lengths 3.6593, 19.7615, 12.4850 Å; angles 90.00, 90.00, 90.00 degrees
Space group Cmcm (No. 63)
Inequivalent atoms, fractional coordinates:
Dy 0.0000 0.1126 0.0503 [8 per cell]
Dy 0.0000 0.2514 0.7500 [4 per cell]
Zn 0.0000 0.2657 0.0588 [8 per cell]
Zn 0.0000 0.3724 0.1517 [8 per cell]
Zn 0.0000 0.4136 0.7500 [4 per cell]
Zn 0.0000 0.4939 0.0983 [8 per cell]
Ag 0.0000 0.0386 0.7500 [4 per cell]

***

Entry 3:
Li5CoN2: calculated X-ray powder pattern (CuKα), based on a DFT-relaxed cell (PBE, Alexandria).
Lines closer than 0.1° are merged.

Largest 10 diffraction maxima, sorted by position, 2θ from 10° to 80°:
2theta  d (Å)  I/Imax  h k l
13.83  6.405  64  0 0 2
26.75  3.333  26  1 0 0
27.66  3.226  100  1 0 1
30.23  2.957  13  1 0 2
34.13  2.627  18  1 0 3
47.23  1.924  35  1 1 0
49.46  1.843  15  1 1 2
57.45  1.604  17  1 0 7
65.28  1.429  11  1 1 6
77.52  1.231  14  1 1 8

Structural model:
Cell lengths 3.8486, 3.8486, 12.8100 Å; angles 90.00, 90.00, 120.00 degrees
Space group P6_3/mmc (No. 194)
Inequivalent atoms, fractional coordinates:
Li 0.0000 0.0000 0.1343 [4 per cell]
Li 0.3333 0.6667 0.0471 [4 per cell]
Li 0.3333 0.6667 0.2500 [2 per cell]
Co 0.3333 0.6667 0.7500 [2 per cell]
N 0.3333 0.6667 0.6097 [4 per cell]

***

Entry 4:
La3Tb8Sc: calculated X-ray powder pattern (CuKα), based on a DFT-relaxed cell (PBE, Alexandria).
Lines closer than 0.1° are merged.

Largest 10 diffraction maxima, sorted by position, 2θ from 10° to 80°:
2theta  d (Å)  I/Imax  h k l
23.95  3.715  94  2 1 1
25.66  3.471  96  2 0 2
28.71  3.110  84  2 2 0
31.64  2.828  72  0 0 4
32.89  2.723  81  2 1 3
35.98  2.496  100  3 1 2
37.73  2.385  34  3 2 1
43.24  2.092  45  2 2 4
44.20  2.049  69  4 0 2
59.21  1.561  35  3 1 6

Structural model:
Cell lengths 8.7952, 8.7952, 11.3115 Å; angles 90.00, 90.00, 90.00 degrees
Space group I-42m (No. 121)
Inequivalent atoms, fractional coordinates:
La 0.0000 0.0000 0.0000 [2 per cell]
La 0.0000 0.5000 0.2500 [4 per cell]
Tb 0.1239 0.1239 0.2603 [8 per cell]
Tb 0.2334 0.2334 0.5257 [8 per cell]
Sc 0.0000 0.0000 0.5000 [2 per cell]